# Cs3Rb3Co2O5
Calculated powder diffraction line list, Cu Kα, 1.54184 Å. Input: a GGA+U-relaxed structure.
No peak broadening, texture or thermal motion is included.

Structural model:
Cell lengths 6.998, 6.998, 7.035 Å; angles 92.30, 92.30, 117.20 degrees
Atoms (fractional coordinates):
Cs 0.000 0.000 0.000
Cs 0.158 0.567 0.218
Cs 0.567 0.158 0.218
Rb 0.108 0.583 0.716
Rb 0.583 0.108 0.716
Rb 0.712 0.712 0.399
Co 0.149 0.149 0.520
Co 0.557 0.557 0.866
O 0.186 0.912 0.467
O 0.400 0.400 0.648
O 0.531 0.791 0.986
O 0.791 0.531 0.986
O 0.912 0.186 0.467

Largest 10 diffraction maxima, in order of falling intensity, 2θ from 10° to 90°:
| 2theta | I (rel.) |
| --- | --- |
| 29.5 | 100 |
| 28.7 | 78 |
| 37.0 | 48 |
| 28.4 | 45 |
| 29.9 | 40 |
| 25.5 | 35 |
| 29.0 | 31 |
| 47.2 | 26 |
| 34.1 | 25 |
| 30.7 | 21 |